# Mn6Ga
Theoretical powder diffractogram, Cu Ka. Input: DFT lattice parameters and positions (PBE).

The 6 most intense peaks (2θ = 10–90°), by angle:
Position (°2θ)  intensity
29.7  44
36.6  100
52.7  21
57.2  50
61.6  24
89.1  14

Structure:
```
Mn6Ga
1.0
-3.0106 3.0106 3.0106
3.0106 -3.0106 3.0106
3.0106 3.0106 -3.0106
Mn Ga
6 1
Direct
0.2500 0.5000 0.7500
0.2500 0.7500 0.5000
0.5000 0.2500 0.7500
0.5000 0.7500 0.2500
0.7500 0.2500 0.5000
0.7500 0.5000 0.2500
0.0000 0.0000 0.0000
```